Starting from a cell relaxed with GGA-PBE, the XRD peak list of AcGa4Pd2 was calculated for copper Kα.

Most intense lines, 5° ≤ 2θ ≤ 70°, by angle:
| 2θ/deg | I (rel.) | hkl |
| --- | --- | --- |
| 28.2 | 24 | 5 0 1 |
| 28.3 | 40 | 3 1 1 |
| 32.2 | 23 | 4 0 2 |
| 33.9 | 100 | 2 1 2 |
| 35.0 | 19 | 5 1 1 |
| 36.8 | 49 | 6 1 0 |
| 41.3 | 43 | 0 2 0 |
| 48.5 | 16 | 8 0 2 |
| 50.7 | 26 | 5 1 3 |
| 57.2 | 19 | 7 1 3 |

Structure:
a = 17.6376 Å, b = 4.3714 Å, c = 7.1645 Å
α = 90.00°, β = 90.00°, γ = 90.00°
Space group Pnma (No. 62)
Unique sites:
Ac (0.1198, 0.2500, 0.0152) (multiplicity 4)
Ga (0.0415, 0.7500, 0.7287) (multiplicity 4)
Ga (0.0918, 0.2500, 0.4981) (multiplicity 4)
Ga (0.1875, 0.7500, 0.3454) (multiplicity 4)
Ga (0.1992, 0.7500, 0.7279) (multiplicity 4)
Pd (0.0367, 0.7500, 0.3274) (multiplicity 4)
Pd (0.2324, 0.2500, 0.5441) (multiplicity 4)